The following is a computed XRD peak list of Si2Ni3H4O9. It was derived from a crystal structure in Alexandria, relaxed with GGA+U, using Cu Kα, 1.54184 Å.

Most intense lines, 10° ≤ 2θ ≤ 80°, sorted by position:
2θ 12.08, 7.328 Å, rel. 100; 2θ 24.29, 3.664 Å, rel. 36; 2θ 33.54, 2.672 Å, rel. 12; 2θ 35.77, 2.510 Å, rel. 66; 2θ 41.85, 2.159 Å, rel. 44; 2θ 50.64, 1.803 Å, rel. 26; 2θ 59.98, 1.542 Å, rel. 16; 2θ 61.39, 1.510 Å, rel. 32

Crystal structure
```
Si2Ni3H4O9
1.0
5.343 0.000 0.000
-2.672 4.627 0.000
0.000 0.000 7.328
Si Ni H O
2 3 4 9
Direct
0.333 0.667 0.000 Si
0.667 0.333 0.000 Si
0.000 0.332 0.620 Ni
0.332 0.000 0.620 Ni
0.668 0.668 0.620 Ni
0.000 0.000 0.899 H
0.000 0.652 0.353 H
0.348 0.348 0.353 H
0.652 0.000 0.353 H
0.000 0.000 0.767 O
0.000 0.517 0.084 O
0.000 0.665 0.486 O
0.333 0.667 0.780 O
0.335 0.335 0.486 O
0.483 0.483 0.084 O
0.517 0.000 0.084 O
0.665 0.000 0.486 O
0.667 0.333 0.780 O
```